[1]
The following is a theoretical X-ray powder pattern of MgAg. It was derived from a crystal structure in the Materials Project, relaxed with GGA-PBE, using Cu Kα.

Structural model:
```
data_MgAg
_space_group_name_H-M_alt 'P m -3 m'
_space_group_IT_number 221
_space_group_name_Hall '-P 4 2 3'
_cell_length_a 3.3353
_cell_length_b 3.3353
_cell_length_c 3.3353
_cell_angle_alpha 90.00
_cell_angle_beta 90.00
_cell_angle_gamma 90.00
loop_
_atom_site_label
_atom_site_type_symbol
_atom_site_fract_x
_atom_site_fract_y
_atom_site_fract_z
Mg1 Mg 0.0000 0.0000 0.0000
Ag1 Ag 0.5000 0.5000 0.5000
```

Peak list (8 most intense, 15° ≤ 2θ ≤ 90°, by angle)
26.73 deg, rel. 51.1, (1 0 0); 38.16 deg, rel. 100.0, (1 1 0); 47.20 deg, rel. 13.9, (1 1 1); 55.07 deg, rel. 16.4, (2 0 0); 62.24 deg, rel. 17.4, (2 1 0); 68.97 deg, rel. 32.2, (2 1 1); 81.65 deg, rel. 10.0, (2 2 0); 87.80 deg, rel. 8.8, (3 0 0)

***

[2]
The following is a theoretical X-ray powder pattern of Na2PdC2. It was derived from a crystal structure in the Materials Project, relaxed with GGA-PBE, using Cu Kα.

Structural model:
```
data_Na2PdC2
_space_group_name_H-M_alt 'P -3 m 1'
_space_group_IT_number 164
_space_group_name_Hall '-P 3 2"'
_cell_length_a 4.5121
_cell_length_b 4.5121
_cell_length_c 5.2830
_cell_angle_alpha 90.00
_cell_angle_beta 90.00
_cell_angle_gamma 120.00
loop_
_atom_site_label
_atom_site_type_symbol
_atom_site_fract_x
_atom_site_fract_y
_atom_site_fract_z
Na1 Na 0.3333 0.6667 0.2201
Pd1 Pd 0.0000 0.0000 0.5000
C1 C 0.0000 0.0000 0.1201
```

Peak list (10 most intense, 15° ≤ 2θ ≤ 90°, by angle)
16.78 deg, rel. 35.1, (0 0 1); 22.76 deg, rel. 93.6, (1 0 0); 28.41 deg, rel. 100.0, (1 0 1); 39.96 deg, rel. 56.1, (1 1 0); 41.25 deg, rel. 57.9, (0 1 2); 43.62 deg, rel. 20.2, (1 1 1); 49.76 deg, rel. 21.8, (0 2 1); 58.78 deg, rel. 19.6, (2 0 2); 65.64 deg, rel. 18.8, (2 1 1); 73.46 deg, rel. 19.5, (1 2 2)

***

[3]
The following is a theoretical X-ray powder pattern of RbHgF3. It was derived from a crystal structure in the Materials Project, relaxed with GGA-PBE, using Cu Kα.

Structural model:
```
data_RbHgF3
_space_group_name_H-M_alt 'P m -3 m'
_space_group_IT_number 221
_space_group_name_Hall '-P 4 2 3'
_cell_length_a 4.6254
_cell_length_b 4.6254
_cell_length_c 4.6254
_cell_angle_alpha 90.00
_cell_angle_beta 90.00
_cell_angle_gamma 90.00
loop_
_atom_site_label
_atom_site_type_symbol
_atom_site_fract_x
_atom_site_fract_y
_atom_site_fract_z
Rb1 Rb 0.0000 0.0000 0.0000
Hg1 Hg 0.5000 0.5000 0.5000
F1 F 0.0000 0.5000 0.5000
```

Peak list (10 most intense, 15° ≤ 2θ ≤ 90°, by angle)
19.19 deg, rel. 28.3, (1 0 0); 27.27 deg, rel. 100.0, (1 1 0); 38.94 deg, rel. 32.9, (2 0 0); 43.76 deg, rel. 14.5, (2 1 0); 48.19 deg, rel. 43.6, (2 1 1); 56.25 deg, rel. 21.7, (2 2 0); 60.00 deg, rel. 7.0, (3 0 0); 63.61 deg, rel. 19.4, (3 1 0); 70.53 deg, rel. 7.2, (2 2 2); 77.16 deg, rel. 22.9, (3 2 1)

***

[4]
The following is a theoretical X-ray powder pattern of NbBr5. It was derived from a crystal structure in the Materials Project, relaxed with GGA-PBE, using Cu Kα.

Structural model:
```
data_NbBr5
_space_group_name_H-M_alt 'P -1'
_space_group_IT_number 2
_cell_length_a 6.9644
_cell_length_b 7.5428
_cell_length_c 10.1195
_cell_angle_alpha 109.93
_cell_angle_beta 91.13
_cell_angle_gamma 115.97
loop_
_space_group_symop_operation_xyz
'x,y,z'
'-x,-y,-z'
loop_
_atom_site_label
_atom_site_type_symbol
_atom_site_fract_x
_atom_site_fract_y
_atom_site_fract_z
Nb1 Nb 0.1050 0.2181 0.2197
Br1 Br 0.0700 0.8162 0.5764
Br2 Br 0.1125 0.6280 0.8507
Br3 Br 0.2284 0.1733 0.9582
Br4 Br 0.2964 0.0143 0.2454
Br5 Br 0.4354 0.5642 0.3253
```

Peak list (10 most intense, 15° ≤ 2θ ≤ 90°, by angle)
15.62 deg, rel. 12.8, (1 0 -1); 27.51 deg, rel. 22.1, (0 2 -2); 28.76 deg, rel. 13.3, (2 0 -1); 29.48 deg, rel. 100.0, (1 0 -3); 29.75 deg, rel. 15.7, (-1 2 1); 29.90 deg, rel. 14.8, (1 -1 3); 38.01 deg, rel. 13.1, (1 2 0); 38.15 deg, rel. 12.7, (1 1 -4); 38.48 deg, rel. 17.8, (2 -3 2); 45.49 deg, rel. 23.6, (3 -1 2)

***

[5]
The following is a theoretical X-ray powder pattern of CaSiO3. It was derived from a crystal structure in the Materials Project, relaxed with GGA-PBE, using Cu Kα.

Structural model:
```
data_CaSiO3
_space_group_name_H-M_alt 'I m m a'
_space_group_IT_number 74
_space_group_name_Hall '-I 2b 2'
_cell_length_a 5.1041
_cell_length_b 7.1896
_cell_length_c 5.1228
_cell_angle_alpha 90.00
_cell_angle_beta 90.00
_cell_angle_gamma 90.00
loop_
_atom_site_label
_atom_site_type_symbol
_atom_site_fract_x
_atom_site_fract_y
_atom_site_fract_z
Ca1 Ca 0.0000 0.2500 0.0010
Si1 Si 0.0000 0.0000 0.5000
O1 O 0.0000 0.2500 0.5376
O2 O 0.2500 0.0193 0.2500
```

Peak list (10 most intense, 15° ≤ 2θ ≤ 90°, by angle)
35.03 deg, rel. 18.7, (0 0 2); 35.20 deg, rel. 100.0, (1 2 1); 43.38 deg, rel. 24.3, (0 2 2); 43.49 deg, rel. 25.5, (2 2 0); 50.48 deg, rel. 58.0, (2 0 2); 50.80 deg, rel. 27.5, (0 4 0); 62.95 deg, rel. 16.0, (1 2 3); 63.15 deg, rel. 21.9, (0 4 2); 74.41 deg, rel. 36.4, (4 0 0); 84.87 deg, rel. 10.1, (3 2 3)

***

[6]
The following is a theoretical X-ray powder pattern of HoSn3. It was derived from a crystal structure in the Materials Project, relaxed with GGA-PBE, using Cu Kα.

Structural model:
```
data_HoSn3
_space_group_name_H-M_alt 'A m m 2'
_space_group_IT_number 38
_cell_length_a 4.4322
_cell_length_b 4.4232
_cell_length_c 22.1238
_cell_angle_alpha 90.00
_cell_angle_beta 90.00
_cell_angle_gamma 90.00
loop_
_space_group_symop_operation_xyz
'x,y,z'
'-x,-y,z'
'-x,y,z'
'x,-y,z'
'x,y+1/2,z+1/2'
'-x,-y+1/2,z+1/2'
'-x,y+1/2,z+1/2'
'x,-y+1/2,z+1/2'
loop_
_atom_site_label
_atom_site_type_symbol
_atom_site_fract_x
_atom_site_fract_y
_atom_site_fract_z
Ho1 Ho 0.0000 0.0000 0.0000
Ho2 Ho 0.5000 0.0000 0.2688
Sn1 Sn 0.0000 0.0000 0.3830
Sn2 Sn 0.0000 0.0000 0.6184
Sn3 Sn 0.0000 0.0000 0.7545
Sn4 Sn 0.5000 0.0000 0.1191
Sn5 Sn 0.5000 0.0000 0.5064
Sn6 Sn 0.5000 0.0000 0.8816
```

Peak list (10 most intense, 15° ≤ 2θ ≤ 90°, by angle)
28.80 deg, rel. 19.6, (1 1 1); 31.03 deg, rel. 70.0, (1 1 3); 32.37 deg, rel. 42.6, (0 0 8); 35.11 deg, rel. 100.0, (1 1 5); 40.76 deg, rel. 56.5, (2 0 0); 52.98 deg, rel. 43.4, (2 0 8); 59.01 deg, rel. 22.1, (2 2 0); 62.07 deg, rel. 25.9, (1 1 13); 68.93 deg, rel. 20.2, (2 2 8); 70.61 deg, rel. 14.1, (1 3 5)

***

[7]
The following is a theoretical X-ray powder pattern of FeRh2S4. It was derived from a crystal structure in the Materials Project, relaxed with GGA-PBE, using Cu Kα.

Structural model:
abc: 9.9136 9.9136 9.9136
angles: 90.00 90.00 90.00
Space group Fd-3m (No. 227, origin choice 2)
Unique sites:
Fe 0.1250 0.1250 0.1250 (multiplicity 8)
Rh 0.0000 0.0000 0.5000 (multiplicity 16)
S 0.0090 0.0090 0.7410 (multiplicity 32)

Peak list (10 most intense, 15° ≤ 2θ ≤ 90°, by angle)
15.48 deg, rel. 45.6, (1 1 1); 25.41 deg, rel. 13.9, (2 2 0); 29.89 deg, rel. 100.0, (3 1 1); 36.25 deg, rel. 56.0, (4 0 0); 47.67 deg, rel. 43.7, (5 1 1); 52.19 deg, rel. 73.7, (4 4 0); 61.32 deg, rel. 12.3, (5 3 3); 73.36 deg, rel. 19.0, (5 5 3); 84.67 deg, rel. 12.4, (5 5 5); 88.14 deg, rel. 15.9, (8 4 0)

***

[8]
The following is a theoretical X-ray powder pattern of Li2Mg. It was derived from a crystal structure in the Materials Project, relaxed with GGA-PBE, using Cu Kα.

Structural model:
```
data_Li2Mg
_space_group_name_H-M_alt 'C 1 2/m 1'
_space_group_IT_number 12
_cell_length_a 11.2742
_cell_length_b 3.0396
_cell_length_c 7.5108
_cell_angle_alpha 90.00
_cell_angle_beta 107.03
_cell_angle_gamma 90.00
loop_
_space_group_symop_operation_xyz
'x,y,z'
'-x,-y,-z'
'-x,y,-z'
'x,-y,z'
'x+1/2,y+1/2,z'
'-x+1/2,-y+1/2,-z'
'-x+1/2,y+1/2,-z'
'x+1/2,-y+1/2,z'
loop_
_atom_site_label
_atom_site_type_symbol
_atom_site_fract_x
_atom_site_fract_y
_atom_site_fract_z
Li1 Li 0.1398 0.0000 0.0297
Li2 Li 0.1955 0.0000 0.6395
Mg1 Mg 0.0272 0.5000 0.3037
```

Peak list (10 most intense, 15° ≤ 2θ ≤ 90°, by angle)
16.45 deg, rel. 100.0, (2 0 0); 24.79 deg, rel. 26.0, (0 0 2); 25.46 deg, rel. 34.8, (2 0 -2); 30.56 deg, rel. 47.2, (1 1 0); 34.00 deg, rel. 26.2, (1 1 1); 35.30 deg, rel. 49.3, (4 0 -2); 37.57 deg, rel. 29.9, (0 0 3); 38.10 deg, rel. 60.6, (1 1 -2); 38.80 deg, rel. 57.0, (3 1 0); 38.98 deg, rel. 27.2, (4 0 1)

***

[9]
The following is a theoretical X-ray powder pattern of K2TeBr6. It was derived from a crystal structure in the Materials Project, relaxed with GGA-PBE, using Cu Kα.

Structural model:
```
data_K2TeBr6
_space_group_name_H-M_alt 'P 1 21/c 1'
_space_group_IT_number 14
_cell_length_a 7.6891
_cell_length_b 8.0399
_cell_length_c 13.2605
_cell_angle_alpha 90.00
_cell_angle_beta 125.19
_cell_angle_gamma 90.00
loop_
_space_group_symop_operation_xyz
'x,y,z'
'-x,-y,-z'
'-x,y+1/2,-z+1/2'
'x,-y+1/2,z+1/2'
loop_
_atom_site_label
_atom_site_type_symbol
_atom_site_fract_x
_atom_site_fract_y
_atom_site_fract_z
K1 K 0.2331 0.0722 0.2490
Te1 Te 0.5000 0.0000 0.0000
Br1 Br 0.1648 0.1885 0.9564
Br2 Br 0.2747 0.7135 0.9613
Br3 Br 0.3338 0.0144 0.7537
```

Peak list (10 most intense, 15° ≤ 2θ ≤ 90°, by angle)
15.95 deg, rel. 67.2, (1 1 -1); 26.32 deg, rel. 45.3, (1 2 0); 26.97 deg, rel. 56.7, (2 1 -1); 27.31 deg, rel. 72.5, (1 0 -4); 27.63 deg, rel. 71.5, (0 2 2); 32.22 deg, rel. 100.0, (2 2 -2); 33.07 deg, rel. 62.2, (0 0 4); 35.47 deg, rel. 37.6, (1 3 -1); 46.74 deg, rel. 39.4, (2 2 2); 49.20 deg, rel. 70.3, (1 2 4)

***

[10]
The following is a theoretical X-ray powder pattern of Ti5S8. It was derived from a crystal structure in the Materials Project, relaxed with GGA-PBE, using Cu Kα.

Structural model:
```
data_Ti5S8
_space_group_name_H-M_alt 'R 3 m'
_space_group_IT_number 160
_space_group_name_Hall 'R 3 -2"'
_cell_length_a 3.4298
_cell_length_b 3.4298
_cell_length_c 71.0060
_cell_angle_alpha 90.00
_cell_angle_beta 90.00
_cell_angle_gamma 120.00
loop_
_atom_site_label
_atom_site_type_symbol
_atom_site_fract_x
_atom_site_fract_y
_atom_site_fract_z
Ti1 Ti 0.0000 0.0000 0.0000
Ti2 Ti 0.0000 0.0000 0.0459
Ti3 Ti 0.0000 0.0000 0.2516
Ti4 Ti 0.0000 0.0000 0.5017
Ti5 Ti 0.0000 0.0000 0.7518
S1 S 0.0000 0.0000 0.1048
S2 S 0.0000 0.0000 0.1881
S3 S 0.0000 0.0000 0.3140
S4 S 0.0000 0.0000 0.3977
S5 S 0.0000 0.0000 0.6048
S6 S 0.0000 0.0000 0.6892
S7 S 0.0000 0.0000 0.8152
S8 S 0.0000 0.0000 0.8986
```

Peak list (10 most intense, 15° ≤ 2θ ≤ 90°, by angle)
30.51 deg, rel. 20.0, (1 0 4); 32.68 deg, rel. 47.7, (1 0 10); 35.01 deg, rel. 84.7, (0 1 14); 36.40 deg, rel. 63.8, (1 0 16); 39.56 deg, rel. 100.0, (0 1 20); 47.12 deg, rel. 47.0, (1 0 28); 51.40 deg, rel. 20.1, (0 1 32); 53.43 deg, rel. 82.4, (1 1 0); 53.64 deg, rel. 23.8, (1 0 34); 86.98 deg, rel. 36.6, (1 1 48)

***

Repeat the fourth record exactly.
The following is a theoretical X-ray powder pattern of NbBr5. It was derived from a crystal structure in the Materials Project, relaxed with GGA-PBE, using Cu Kα.

Structural model:
```
data_NbBr5
_space_group_name_H-M_alt 'P -1'
_space_group_IT_number 2
_cell_length_a 6.9644
_cell_length_b 7.5428
_cell_length_c 10.1195
_cell_angle_alpha 109.93
_cell_angle_beta 91.13
_cell_angle_gamma 115.97
loop_
_space_group_symop_operation_xyz
'x,y,z'
'-x,-y,-z'
loop_
_atom_site_label
_atom_site_type_symbol
_atom_site_fract_x
_atom_site_fract_y
_atom_site_fract_z
Nb1 Nb 0.1050 0.2181 0.2197
Br1 Br 0.0700 0.8162 0.5764
Br2 Br 0.1125 0.6280 0.8507
Br3 Br 0.2284 0.1733 0.9582
Br4 Br 0.2964 0.0143 0.2454
Br5 Br 0.4354 0.5642 0.3253
```

Peak list (10 most intense, 15° ≤ 2θ ≤ 90°, by angle)
15.62 deg, rel. 12.8, (1 0 -1); 27.51 deg, rel. 22.1, (0 2 -2); 28.76 deg, rel. 13.3, (2 0 -1); 29.48 deg, rel. 100.0, (1 0 -3); 29.75 deg, rel. 15.7, (-1 2 1); 29.90 deg, rel. 14.8, (1 -1 3); 38.01 deg, rel. 13.1, (1 2 0); 38.15 deg, rel. 12.7, (1 1 -4); 38.48 deg, rel. 17.8, (2 -3 2); 45.49 deg, rel. 23.6, (3 -1 2)